This entry pairs a crystal structure of MgCu4O6 with its calculated X-ray diffraction stick pattern. Radiation: Cu Kα. Structure: a structure optimized by DFT (GGA-PBE).
No peak broadening, texture or thermal motion is included.

Crystal structure
Unit cell a=5.111 b=5.111 c=14.605 alpha=90.00 beta=90.00 gamma=146.22
Atoms (fractional coordinates):
Mg1 0.159 0.841 0.750
Mg2 0.841 0.159 0.250
Cu1 0.094 0.906 0.136
Cu2 0.094 0.906 0.364
Cu3 0.362 0.638 0.044
Cu4 0.362 0.638 0.456
Cu5 0.638 0.362 0.544
Cu6 0.638 0.362 0.956
Cu7 0.906 0.094 0.636
Cu8 0.906 0.094 0.864
O1 0.000 0.000 0.000
O2 0.000 0.000 0.500
O3 0.197 0.803 0.250
O4 0.283 0.717 0.579
O5 0.283 0.717 0.921
O6 0.451 0.549 0.159
O7 0.451 0.549 0.341
O8 0.549 0.451 0.659
O9 0.549 0.451 0.841
O10 0.717 0.283 0.079
O11 0.717 0.283 0.421
O12 0.803 0.197 0.750

Most intense lines, 15 to 90 degrees two-theta, sorted by position:
| 2θ/deg | I_rel |
| --- | --- |
| 32.1 | 26.6 |
| 33.8 | 30.1 |
| 35.8 | 100.0 |
| 36.6 | 30.7 |
| 36.8 | 31.1 |
| 41.6 | 47.4 |
| 43.0 | 65.2 |
| 45.3 | 50.2 |
| 60.3 | 26.6 |
| 62.3 | 25.2 |

This entry pairs a crystal structure of YCu2Sn2 with its calculated X-ray diffraction stick pattern. Radiation: Cu Kα. Structure: a structure optimized by DFT (GGA-PBE).
No peak broadening, texture or thermal motion is included.

Crystal structure
Unit cell a=4.375 b=4.375 c=10.766 alpha=90.00 beta=90.00 gamma=90.00
Atoms (fractional coordinates):
Y1 0.250 0.250 0.237
Y2 0.750 0.750 0.763
Cu1 0.250 0.250 0.639
Cu2 0.250 0.750 0.000
Cu3 0.750 0.250 0.000
Cu4 0.750 0.750 0.361
Sn1 0.250 0.250 0.869
Sn2 0.250 0.750 0.500
Sn3 0.750 0.250 0.500
Sn4 0.750 0.750 0.131

Most intense lines, 15 to 90 degrees two-theta, sorted by position:
| 2θ/deg | I_rel |
| --- | --- |
| 32.3 | 48.2 |
| 33.4 | 100.0 |
| 41.3 | 68.8 |
| 44.6 | 45.3 |
| 47.0 | 25.9 |
| 53.3 | 22.8 |
| 59.8 | 22.8 |
| 64.3 | 19.9 |
| 70.2 | 23.5 |
| 77.6 | 16.8 |

This entry pairs a crystal structure of Mg3Sb with its calculated X-ray diffraction stick pattern. Radiation: Cu Kα. Structure: a structure optimized by DFT (GGA-PBE).
No peak broadening, texture or thermal motion is included.

Crystal structure
Unit cell a=3.337 b=3.337 c=10.074 alpha=90.00 beta=90.00 gamma=120.00
Atoms (fractional coordinates):
Mg1 0.000 0.000 0.000
Mg2 0.667 0.333 0.245
Mg3 0.667 0.333 0.755
Sb1 0.000 0.000 0.500

Most intense lines, 15 to 90 degrees two-theta, sorted by position:
| 2θ/deg | I_rel |
| --- | --- |
| 17.6 | 27.8 |
| 30.9 | 38.9 |
| 32.2 | 38.6 |
| 35.6 | 20.8 |
| 35.8 | 100.0 |
| 41.2 | 18.3 |
| 47.9 | 22.7 |
| 55.0 | 17.4 |
| 64.2 | 17.3 |
| 67.3 | 18.5 |

This entry pairs a crystal structure of KInO3 with its calculated X-ray diffraction stick pattern. Radiation: Cu Kα. Structure: a structure optimized by DFT (GGA-PBE).
No peak broadening, texture or thermal motion is included.

Crystal structure
Unit cell a=4.308 b=4.308 c=4.308 alpha=90.00 beta=90.00 gamma=90.00
Atoms (fractional coordinates):
K1 0.000 0.000 0.000
In1 0.500 0.500 0.500
O1 0.000 0.500 0.500
O2 0.500 0.000 0.500
O3 0.500 0.500 0.000

Most intense lines, 15 to 90 degrees two-theta, sorted by position:
| 2θ/deg | I_rel |
| --- | --- |
| 20.6 | 51.6 |
| 29.3 | 100.0 |
| 41.9 | 39.0 |
| 47.2 | 23.1 |
| 52.0 | 38.9 |
| 60.8 | 22.9 |
| 64.9 | 10.6 |
| 68.9 | 16.4 |
| 76.6 | 7.2 |
| 84.1 | 19.2 |

This entry pairs a crystal structure of Ac2MgTl with its calculated X-ray diffraction stick pattern. Radiation: Cu Kα. Structure: a structure optimized by DFT (GGA-PBE).
No peak broadening, texture or thermal motion is included.

Crystal structure
Unit cell a=5.841 b=5.841 c=5.841 alpha=60.00 beta=60.00 gamma=60.00
Atoms (fractional coordinates):
Ac1 0.250 0.250 0.250
Ac2 0.750 0.750 0.750
Mg1 0.000 0.000 0.000
Tl1 0.500 0.500 0.500

Most intense lines, 15 to 90 degrees two-theta, sorted by position:
| 2θ/deg | I_rel |
| --- | --- |
| 18.6 | 14.9 |
| 21.5 | 12.2 |
| 30.6 | 100.0 |
| 36.1 | 8.8 |
| 43.8 | 19.1 |
| 49.3 | 5.8 |
| 54.4 | 40.9 |
| 63.7 | 12.8 |
| 72.3 | 17.8 |
| 88.6 | 22.0 |

This entry pairs a crystal structure of Sr3U6O28 with its calculated X-ray diffraction stick pattern. Radiation: Cu Kα. Structure: a structure optimized by DFT (GGA-PBE).
No peak broadening, texture or thermal motion is included.

Crystal structure
Unit cell a=6.926 b=9.782 c=9.807 alpha=90.47 beta=110.49 gamma=110.53
Atoms (fractional coordinates):
Sr1 0.000 0.000 0.000
Sr2 0.054 0.546 0.547
Sr3 0.365 0.356 0.353
U1 0.046 0.608 0.121
U2 0.047 0.122 0.607
U3 0.337 0.944 0.428
U4 0.338 0.429 0.943
U5 0.692 0.259 0.753
U6 0.692 0.755 0.258
O1 0.027 0.770 0.271
O2 0.028 0.275 0.767
O3 0.044 0.994 0.750
O4 0.047 0.750 0.993
O5 0.087 0.497 0.284
O6 0.093 0.285 0.497
O7 0.297 0.074 0.283
O8 0.300 0.283 0.071
O9 0.318 0.812 0.566
O10 0.321 0.569 0.813
O11 0.356 0.117 0.588
O12 0.356 0.586 0.119
O13 0.444 0.814 0.308
O14 0.445 0.309 0.814
O15 0.466 0.571 0.568
O16 0.636 0.671 0.672
O17 0.691 0.077 0.549
O18 0.691 0.551 0.075
O19 0.694 0.872 0.107
O20 0.696 0.106 0.868
O21 0.703 0.387 0.605
O22 0.706 0.606 0.385
O23 0.723 0.246 0.254
O24 0.746 0.166 0.164
O25 0.831 0.685 0.684
O26 0.938 0.430 0.942
O27 0.938 0.943 0.430
O28 0.952 0.185 0.180

Most intense lines, 15 to 90 degrees two-theta, sorted by position:
| 2θ/deg | I_rel |
| --- | --- |
| 25.7 | 74.2 |
| 25.7 | 28.7 |
| 25.8 | 26.7 |
| 28.8 | 100.0 |
| 28.9 | 48.9 |
| 36.6 | 29.9 |
| 45.5 | 21.9 |
| 47.2 | 32.9 |
| 47.3 | 18.5 |
| 52.8 | 18.4 |

This entry pairs a crystal structure of Ho2Fe17C2 with its calculated X-ray diffraction stick pattern. Radiation: Cu Kα. Structure: a structure optimized by DFT (GGA-PBE).
No peak broadening, texture or thermal motion is included.

Crystal structure
Unit cell a=6.459 b=6.459 c=6.481 alpha=96.43 beta=96.43 gamma=83.37
Atoms (fractional coordinates):
Ho1 0.154 0.154 0.338
Ho2 0.846 0.846 0.662
Fe1 0.000 0.500 0.000
Fe2 0.155 0.155 0.855
Fe3 0.157 0.647 0.342
Fe4 0.214 0.786 0.000
Fe5 0.216 0.499 0.716
Fe6 0.353 0.843 0.658
Fe7 0.403 0.403 0.097
Fe8 0.499 0.216 0.716
Fe9 0.500 0.000 0.000
Fe10 0.500 0.500 0.500
Fe11 0.501 0.784 0.284
Fe12 0.597 0.597 0.903
Fe13 0.647 0.157 0.342
Fe14 0.784 0.501 0.284
Fe15 0.786 0.214 0.000
Fe16 0.843 0.353 0.658
Fe17 0.845 0.845 0.145
C1 0.000 0.500 0.500
C2 0.500 0.000 0.500

Most intense lines, 15 to 90 degrees two-theta, sorted by position:
| 2θ/deg | I_rel |
| --- | --- |
| 30.0 | 65.5 |
| 36.2 | 42.0 |
| 37.7 | 47.2 |
| 41.9 | 72.1 |
| 42.1 | 35.4 |
| 42.3 | 47.9 |
| 42.5 | 100.0 |
| 43.4 | 22.6 |
| 43.8 | 56.2 |
| 79.6 | 20.1 |